# 1
Diffraction record for SmEr2Pb3. The powder X-ray diffraction pattern is simulated, not measured: it uses a cell relaxed with PBE and a wavelength of 1.5418 Å.
Kinematic intensities with the Lorentz-polarization factor, no thermal factor.

Atomic structure:
```
12
Lattice="8.476 -3.210 0.000 8.476 3.210 0.000 -1.203 0.000 6.293" Properties=species:S:1:pos:R:3 pbc="T T T"
Sm 7.574 2.398 4.719
Sm 8.176 -2.398 1.573
Er 4.548 0.795 5.793
Er 5.149 -0.795 2.647
Er 10.601 0.795 3.646
Er 11.202 -0.795 0.500
Pb 2.160 0.795 3.688
Pb 2.762 -0.795 0.542
Pb 8.176 0.802 1.573
Pb 7.574 -0.802 4.719
Pb 12.988 0.795 5.751
Pb 13.590 -0.795 2.604
```

Largest 8 diffraction maxima, by intensity, 2θ from 10° to 90°:
2θ (°)	I_rel
32.25	100
67.43	27
39.73	23
52.09	21
57.54	16
85.69	11
57.45	8
81.33	6

# 2
Diffraction record for Sm7Er12Pb. The powder X-ray diffraction pattern is simulated, not measured: it uses a cell relaxed with PBE and a wavelength of 1.5418 Å.
Kinematic intensities with the Lorentz-polarization factor, no thermal factor.

Atomic structure:
```
20
Lattice="6.611 3.817 4.173 -6.611 3.817 4.173 0.000 -7.634 4.173" Properties=species:S:1:pos:R:3 pbc="T T T"
Sm 0.000 0.000 0.000
Sm -1.816 -1.048 3.368
Sm 1.816 -1.048 3.368
Sm 0.000 2.097 3.368
Sm 0.000 -2.097 9.149
Sm -1.816 1.048 9.149
Sm 1.816 1.048 9.149
Er 0.000 -4.317 3.598
Er -3.739 2.159 3.598
Er -1.693 -2.932 6.259
Er -3.386 0.000 6.259
Er -3.739 -2.159 8.920
Er 1.693 -2.932 6.259
Er -1.693 2.932 6.259
Er 3.739 2.159 3.598
Er 3.386 0.000 6.259
Er 1.693 2.932 6.259
Er 3.739 -2.158 8.920
Er 0.000 4.317 8.920
Pb 0.000 0.000 6.259
```

Largest 8 diffraction maxima, by intensity, 2θ from 10° to 90°:
2θ (°)	I_rel
32.07	100
31.59	71
31.77	69
29.59	54
34.45	39
55.61	28
57.10	26
49.81	24

# 3
Diffraction record for Sm4ErPb5. The powder X-ray diffraction pattern is simulated, not measured: it uses a cell relaxed with PBE and a wavelength of 1.5418 Å.
Kinematic intensities with the Lorentz-polarization factor, no thermal factor.

Atomic structure:
```
10
Lattice="-5.041 5.041 3.186 5.041 -5.041 3.186 5.041 5.041 -3.186" Properties=species:S:1:pos:R:3 pbc="T T T"
Sm 7.049 0.983 0.000
Sm 0.983 3.034 0.000
Sm 4.059 2.007 3.186
Sm -2.007 4.059 3.186
Er 0.000 0.000 3.172
Pb 4.030 2.061 0.000
Pb 2.981 -1.011 3.187
Pb 2.061 6.053 0.000
Pb 1.011 2.981 3.187
Pb 0.000 0.000 6.356
```

Largest 8 diffraction maxima, by intensity, 2θ from 10° to 90°:
2θ (°)	I_rel
27.99	100
40.00	78
65.47	37
49.53	28
72.65	28
57.85	13
86.32	9
24.18	4

# 4
Diffraction record for Er10Sn3Pb3. The powder X-ray diffraction pattern is simulated, not measured: it uses a cell relaxed with PBE and a wavelength of 1.5418 Å.
Kinematic intensities with the Lorentz-polarization factor, no thermal factor.

Atomic structure:
```
16
Lattice="8.929 0.000 0.000 -4.464 7.732 0.000 0.000 0.000 6.523" Properties=species:S:1:pos:R:3 pbc="T T T"
Er -1.056 1.829 0.000
Er -3.407 5.901 3.262
Er 2.112 0.000 0.000
Er 1.057 1.831 3.262
Er 0.000 5.155 1.650
Er 0.000 5.155 4.873
Er 4.464 2.577 1.650
Er 4.464 2.577 4.873
Er 6.814 0.000 3.262
Er 3.409 5.904 0.000
Sn -1.761 3.050 3.262
Sn 3.522 0.000 3.262
Sn 2.704 4.683 3.262
Pb -2.699 4.675 0.000
Pb 1.765 3.058 0.000
Pb 5.398 0.000 0.000
```

Largest 8 diffraction maxima, by intensity, 2θ from 10° to 90°:
2θ (°)	I_rel
33.60	100
34.04	73
34.81	36
30.59	30
52.45	29
66.97	20
27.34	19
49.48	17

# 5
Diffraction record for ErSn4Pb. The powder X-ray diffraction pattern is simulated, not measured: it uses a cell relaxed with PBE and a wavelength of 1.5418 Å.
Kinematic intensities with the Lorentz-polarization factor, no thermal factor.

Atomic structure:
```
6
Lattice="0.000 4.391 4.391 4.391 0.000 4.391 4.391 4.391 0.000" Properties=species:S:1:pos:R:3 pbc="T T T"
Er 0.000 0.000 0.000
Sn 5.490 3.291 3.291
Sn 3.291 5.490 3.291
Sn 3.291 3.291 5.490
Sn 5.490 5.490 5.490
Pb 2.195 2.195 2.195
```

Largest 8 diffraction maxima, by intensity, 2θ from 10° to 90°:
2θ (°)	I_rel
33.86	100
28.76	41
54.28	36
59.55	29
35.41	28
84.81	24
50.95	17
70.30	13

# 6
Diffraction record for Er8SnPb2. The powder X-ray diffraction pattern is simulated, not measured: it uses a cell relaxed with PBE and a wavelength of 1.5418 Å.
Kinematic intensities with the Lorentz-polarization factor, no thermal factor.

Atomic structure:
```
11
Lattice="9.771 -2.519 0.000 9.771 2.519 0.000 -1.506 0.000 6.645" Properties=species:S:1:pos:R:3 pbc="T T T"
Er 0.018 0.000 1.732
Er 2.965 0.000 5.563
Er 5.970 0.000 3.226
Er 7.970 0.000 0.149
Er 10.067 0.000 6.496
Er 12.067 0.000 3.419
Er 15.072 0.000 1.082
Er 18.018 0.000 4.912
Sn 9.018 0.000 3.322
Pb 3.131 0.000 1.801
Pb 14.906 0.000 4.844
```

Largest 8 diffraction maxima, by intensity, 2θ from 10° to 90°:
2θ (°)	I_rel
31.73	100
35.65	58
29.38	57
37.35	36
34.52	33
32.76	23
33.86	21
33.50	19